Starting from a cell relaxed with GGA-PBE, the powder diffraction line list of Mg3Hg was calculated for Cu Kα (λ = 1.5418 Å).

Principal peaks in the range 10° ≤ 2θ ≤ 80°, most intense first:
| 2θ/deg | I/Imax |
| --- | --- |
| 20.13 | 100 |
| 28.62 | 87 |
| 35.24 | 87 |
| 46.01 | 50 |
| 40.92 | 43 |
| 50.70 | 38 |
| 70.86 | 34 |
| 59.26 | 29 |
| 63.25 | 25 |
| 67.11 | 17 |
| 78.13 | 11 |
| 74.53 | 10 |

Cell and atoms:
Cell lengths 4.411, 4.411, 4.411 Å; angles 90.00, 90.00, 90.00 degrees
Sites, in units of the cell vectors:
Mg (0.000, 0.000, 0.500)
Mg (0.000, 0.500, 0.000)
Mg (0.500, 0.000, 0.000)
Hg (0.500, 0.500, 0.500)

Starting from a cell relaxed with GGA-PBE, the powder diffraction line list of Mg5Hg was calculated for Cu Kα (λ = 1.5418 Å).

Principal peaks in the range 10° ≤ 2θ ≤ 80°, most intense first:
| 2θ/deg | I/Imax |
| --- | --- |
| 10.95 | 100 |
| 36.79 | 71 |
| 20.75 | 50 |
| 17.57 | 36 |
| 33.15 | 31 |
| 37.86 | 31 |
| 32.06 | 27 |
| 27.89 | 24 |
| 35.57 | 23 |
| 48.61 | 23 |
| 28.29 | 22 |
| 22.00 | 21 |

Cell and atoms:
Cell lengths 5.048, 8.245, 8.245 Å; angles 22.83, 90.00, 90.00 degrees
Sites, in units of the cell vectors:
Mg (0.000, 0.000, 0.000)
Mg (0.000, 0.327, 0.327)
Mg (0.500, 0.213, 0.213)
Mg (0.500, 0.549, 0.549)
Mg (0.500, 0.883, 0.883)
Hg (0.000, 0.662, 0.662)

Starting from a cell relaxed with GGA-PBE, the powder diffraction line list of MgHg2 was calculated for Cu Kα (λ = 1.5418 Å).

Principal peaks in the range 10° ≤ 2θ ≤ 80°, most intense first:
| 2θ/deg | I/Imax |
| --- | --- |
| 37.68 | 100 |
| 31.51 | 85 |
| 35.38 | 79 |
| 39.92 | 57 |
| 34.10 | 57 |
| 20.62 | 48 |
| 61.04 | 36 |
| 23.72 | 30 |
| 43.20 | 27 |
| 26.02 | 27 |
| 60.23 | 26 |
| 21.30 | 25 |

Cell and atoms:
Cell lengths 5.320, 5.320, 7.000 Å; angles 120.55, 120.55, 59.27 degrees
Sites, in units of the cell vectors:
Mg (0.105, 0.895, 0.750)
Mg (0.895, 0.105, 0.250)
Hg (0.228, 0.437, 0.253)
Hg (0.437, 0.228, 0.753)
Hg (0.563, 0.772, 0.247)
Hg (0.772, 0.563, 0.747)

Starting from a cell relaxed with GGA-PBE, the powder diffraction line list of Mg3Hg was calculated for Cu Kα (λ = 1.5418 Å).

Principal peaks in the range 10° ≤ 2θ ≤ 80°, most intense first:
| 2θ/deg | I/Imax |
| --- | --- |
| 23.37 | 100 |
| 37.76 | 62 |
| 36.70 | 54 |
| 20.56 | 38 |
| 42.44 | 37 |
| 20.95 | 28 |
| 66.79 | 23 |
| 53.68 | 22 |
| 43.97 | 20 |
| 58.57 | 17 |
| 56.84 | 17 |
| 76.80 | 13 |

Cell and atoms:
Cell lengths 4.897, 4.897, 8.639 Å; angles 90.00, 90.00, 120.00 degrees
Sites, in units of the cell vectors:
Mg (0.000, 0.000, 0.250)
Mg (0.000, 0.000, 0.750)
Mg (0.333, 0.667, 0.079)
Mg (0.333, 0.667, 0.421)
Mg (0.667, 0.333, 0.579)
Mg (0.667, 0.333, 0.921)
Hg (0.333, 0.667, 0.750)
Hg (0.667, 0.333, 0.250)

What did the third record say?
Starting from a cell relaxed with GGA-PBE, the powder diffraction line list of MgHg2 was calculated for Cu Kα (λ = 1.5418 Å).

Principal peaks in the range 10° ≤ 2θ ≤ 80°, most intense first:
| 2θ/deg | I/Imax |
| --- | --- |
| 37.68 | 100 |
| 31.51 | 85 |
| 35.38 | 79 |
| 39.92 | 57 |
| 34.10 | 57 |
| 20.62 | 48 |
| 61.04 | 36 |
| 23.72 | 30 |
| 43.20 | 27 |
| 26.02 | 27 |
| 60.23 | 26 |
| 21.30 | 25 |

Cell and atoms:
Cell lengths 5.320, 5.320, 7.000 Å; angles 120.55, 120.55, 59.27 degrees
Sites, in units of the cell vectors:
Mg (0.105, 0.895, 0.750)
Mg (0.895, 0.105, 0.250)
Hg (0.228, 0.437, 0.253)
Hg (0.437, 0.228, 0.753)
Hg (0.563, 0.772, 0.247)
Hg (0.772, 0.563, 0.747)